Record 1
Structure and computed X-ray powder pattern of Fe2CoF6 (a crystal structure in Alexandria, relaxed with PBE+U; CuKα).
Neutral-atom scattering factors, no anomalous dispersion.

Most intense lines, 2θ = 10–90°, low angle first:
2theta, d_spacing, Rel. int., h k l
20.81, 4.270, 100, 0 1 1
24.35, 3.655, 13, 1 1 -1
31.62, 2.829, 38, 1 1 1
31.90, 2.805, 37, 1 1 -3
32.42, 2.762, 14, 2 0 -2
37.42, 2.403, 13, 2 1 -2
49.90, 1.828, 28, 2 2 -2
51.23, 1.783, 24, 1 2 2
51.51, 1.774, 24, 1 2 -4
55.24, 1.663, 14, 0 1 5
58.78, 1.571, 12, 3 0 0
63.11, 1.473, 15, 0 0 6

Structural model:
```
data_Fe2CoF6
_chemical_formula_sum 'Fe4 Co2 F12'
_symmetry_space_group_name_H-M 'P 1 21/c 1'
_symmetry_Int_Tables_number 14
_symmetry_space_group_name_Hall '-P 2ybc'
_cell_length_a 5.524
_cell_length_b 4.875
_cell_length_c 10.366
_cell_angle_alpha 90.00
_cell_angle_beta 121.44
_cell_angle_gamma 90.00
loop_
_atom_site_label
_atom_site_fract_x
_atom_site_fract_y
_atom_site_fract_z
_atom_site_occupancy
Fe1 0.186 0.000 0.186 1
Co1 0.500 0.000 0.000 1
F1 0.165 0.225 0.829 1
F2 0.175 0.696 0.502 1
F3 0.495 0.726 0.331 1
```


Record 2
Structure and computed X-ray powder pattern of Fe4CoF12 (a crystal structure in Alexandria, relaxed with PBE+U; CuKα).
Neutral-atom scattering factors, no anomalous dispersion.

Most intense lines, 2θ = 10–90°, low angle first:
2theta, d_spacing, Rel. int., h k l
15.87, 5.586, 64, 1 1 0
16.45, 5.389, 47, 1 1 -1
22.10, 4.022, 100, 2 0 0
22.91, 3.882, 87, 0 2 0
23.77, 3.743, 57, 2 0 -2
31.57, 2.834, 41, 0 0 2
32.05, 2.793, 61, 2 2 0
33.25, 2.694, 69, 2 2 -2
33.77, 2.654, 30, 4 0 -2
45.09, 2.011, 46, 4 0 0
46.81, 1.941, 41, 0 4 0
60.82, 1.523, 32, 6 2 -4

Structural model:
```
data_Fe4CoF12
_chemical_formula_sum 'Fe8 Co2 F24'
_symmetry_space_group_name_H-M 'C 1 2/m 1'
_symmetry_Int_Tables_number 12
_symmetry_space_group_name_Hall '-C 2y'
_cell_length_a 10.645
_cell_length_b 7.764
_cell_length_c 7.502
_cell_angle_alpha 90.00
_cell_angle_beta 130.93
_cell_angle_gamma 90.00
loop_
_atom_site_label
_atom_site_fract_x
_atom_site_fract_y
_atom_site_fract_z
_atom_site_occupancy
Fe1 0.250 0.250 0.000 1
Fe2 0.250 0.250 0.500 1
Co1 0.000 0.000 0.000 1
F1 0.021 0.206 0.201 1
F2 0.195 0.196 0.691 1
F3 0.205 0.500 0.499 1
F4 0.225 0.000 0.073 1
```


Record 3
Structure and computed X-ray powder pattern of FeCoF4 (a crystal structure in Alexandria, relaxed with PBE+U; CuKα).
Neutral-atom scattering factors, no anomalous dispersion.

Most intense lines, 2θ = 10–90°, low angle first:
2theta, d_spacing, Rel. int., h k l
24.32, 3.660, 57, 0 1 1
29.46, 3.032, 100, 1 1 1
33.10, 2.706, 13, 2 0 0
35.26, 2.546, 20, 1 0 2
40.22, 2.242, 20, 1 1 2
41.50, 2.176, 19, 2 1 1
51.27, 1.782, 43, 2 2 0
52.80, 1.734, 44, 1 2 2
56.90, 1.618, 17, 3 1 1
60.53, 1.530, 21, 3 0 2
62.40, 1.488, 14, 2 1 3
63.47, 1.466, 12, 1 3 1

Structural model:
```
data_FeCoF4
_chemical_formula_sum 'Fe2 Co2 F8'
_symmetry_space_group_name_H-M 'P n c 2'
_symmetry_Int_Tables_number 30
_symmetry_space_group_name_Hall 'P 2 -2bc'
_cell_length_a 5.413
_cell_length_b 4.735
_cell_length_c 5.769
_cell_angle_alpha 90.00
_cell_angle_beta 90.00
_cell_angle_gamma 90.00
loop_
_atom_site_label
_atom_site_fract_x
_atom_site_fract_y
_atom_site_fract_z
_atom_site_occupancy
Fe1 0.000 0.000 0.000 1
Co1 0.500 0.000 0.301 1
F1 0.171 0.225 0.273 1
F2 0.338 0.732 0.535 1
```


Record 4
Structure and computed X-ray powder pattern of Fe2CoF2 (a crystal structure in Alexandria, relaxed with PBE+U; CuKα).
Neutral-atom scattering factors, no anomalous dispersion.

Most intense lines, 2θ = 10–90°, low angle first:
2theta, d_spacing, Rel. int., h k l
29.75, 3.003, 34, 2 1 0
37.90, 2.374, 49, 2 2 0
38.03, 2.366, 26, 1 1 1
42.58, 2.123, 78, 3 1 0
42.70, 2.118, 100, 2 0 1
44.88, 2.020, 94, 2 1 1
56.51, 1.629, 23, 4 1 0
66.91, 1.398, 27, 4 1 1
68.54, 1.369, 23, 3 3 1
81.07, 1.186, 21, 5 1 1
84.05, 1.152, 12, 5 3 0
84.38, 1.148, 17, 3 1 2

Structural model:
```
data_Fe2CoF2
_chemical_formula_sum 'Fe4 Co2 F4'
_symmetry_space_group_name_H-M 'P 4/m b m'
_symmetry_Int_Tables_number 127
_symmetry_space_group_name_Hall '-P 4 2ab'
_cell_length_a 6.715
_cell_length_b 6.715
_cell_length_c 2.729
_cell_angle_alpha 90.00
_cell_angle_beta 90.00
_cell_angle_gamma 90.00
loop_
_atom_site_label
_atom_site_fract_x
_atom_site_fract_y
_atom_site_fract_z
_atom_site_occupancy
Fe1 0.185 0.315 0.000 1
Co1 0.000 0.000 0.500 1
F1 0.126 0.626 0.500 1
```


Record 5
Structure and computed X-ray powder pattern of LiFeCoF6 (a crystal structure in Alexandria, relaxed with PBE+U; CuKα).
Neutral-atom scattering factors, no anomalous dispersion.

Most intense lines, 2θ = 10–90°, low angle first:
2theta, d_spacing, Rel. int., h k l
19.34, 4.589, 24, 0 0 2
21.38, 4.157, 65, 1 0 1
27.04, 3.297, 100, 1 1 0
33.47, 2.677, 18, 1 1 2
35.08, 2.558, 41, 1 0 3
40.22, 2.242, 35, 1 1 3
44.56, 2.033, 14, 2 1 1
53.16, 1.723, 66, 2 1 3
55.76, 1.648, 23, 2 2 0
60.53, 1.530, 11, 0 0 6
67.51, 1.387, 12, 1 1 6
67.61, 1.386, 27, 3 0 3

Structural model:
```
data_LiFeCoF6
_chemical_formula_sum 'Li2 Fe2 Co2 F12'
_symmetry_space_group_name_H-M 'P 42 n m'
_symmetry_Int_Tables_number 102
_symmetry_space_group_name_Hall 'P 4n -2n'
_cell_length_a 4.663
_cell_length_b 4.663
_cell_length_c 9.177
_cell_angle_alpha 90.00
_cell_angle_beta 90.00
_cell_angle_gamma 90.00
loop_
_atom_site_label
_atom_site_fract_x
_atom_site_fract_y
_atom_site_fract_z
_atom_site_occupancy
Li1 0.000 0.000 0.000 1
Fe1 0.000 0.000 0.671 1
Co1 0.000 0.000 0.335 1
F1 0.189 0.189 0.180 1
F2 0.191 0.191 0.486 1
F3 0.215 0.215 0.838 1
```


Record 6
Structure and computed X-ray powder pattern of FeCoNiF6 (a crystal structure in Alexandria, relaxed with PBE+U; CuKα).
Neutral-atom scattering factors, no anomalous dispersion.

Most intense lines, 2θ = 10–90°, low angle first:
2theta, d_spacing, Rel. int., h k l
26.52, 3.362, 100, 1 1 0
33.68, 2.661, 58, 1 0 3
37.85, 2.377, 8, 2 0 0
38.78, 2.322, 19, 1 1 3
51.55, 1.773, 68, 2 1 3
54.60, 1.681, 19, 2 2 0
57.38, 1.606, 11, 0 0 6
61.70, 1.503, 10, 3 1 0
64.28, 1.449, 14, 1 1 6
65.70, 1.421, 24, 3 0 3
83.20, 1.161, 10, 2 2 6
89.25, 1.097, 7, 3 1 6

Structural model:
```
data_FeCoNiF6
_chemical_formula_sum 'Fe2 Co2 Ni2 F12'
_symmetry_space_group_name_H-M 'P 42 n m'
_symmetry_Int_Tables_number 102
_symmetry_space_group_name_Hall 'P 4n -2n'
_cell_length_a 4.754
_cell_length_b 4.754
_cell_length_c 9.635
_cell_angle_alpha 90.00
_cell_angle_beta 90.00
_cell_angle_gamma 90.00
loop_
_atom_site_label
_atom_site_fract_x
_atom_site_fract_y
_atom_site_fract_z
_atom_site_occupancy
Fe1 0.000 0.000 0.000 1
Co1 0.000 0.000 0.668 1
Ni1 0.000 0.000 0.333 1
F1 0.194 0.194 0.498 1
F2 0.197 0.197 0.172 1
F3 0.200 0.200 0.831 1
```


Record 7
Structure and computed X-ray powder pattern of FeCoPO4F (a crystal structure in Alexandria, relaxed with PBE+U; CuKα).
Neutral-atom scattering factors, no anomalous dispersion.

Most intense lines, 2θ = 10–90°, low angle first:
2theta, d_spacing, Rel. int., h k l
24.54, 3.627, 50, 3 1 -1
26.22, 3.399, 29, 3 1 -2
27.48, 3.245, 67, 4 0 -2
29.84, 2.994, 90, 0 2 1
31.15, 2.871, 100, 2 0 2
31.44, 2.846, 56, 3 1 -3
36.01, 2.494, 24, 2 2 1
42.43, 2.130, 23, 4 2 -3
45.15, 2.008, 23, 6 0 -4
47.49, 1.914, 24, 5 1 1
52.64, 1.739, 24, 3 3 1
56.90, 1.618, 34, 5 3 -3

Structural model:
```
data_FeCoPO4F
_chemical_formula_sum 'Fe8 Co8 P8 O32 F8'
_symmetry_space_group_name_H-M 'C 1 c 1'
_symmetry_Int_Tables_number 9
_symmetry_space_group_name_Hall 'C -2yc'
_cell_length_a 13.246
_cell_length_b 6.377
_cell_length_c 9.971
_cell_angle_alpha 90.00
_cell_angle_beta 119.14
_cell_angle_gamma 90.00
loop_
_atom_site_label
_atom_site_fract_x
_atom_site_fract_y
_atom_site_fract_z
_atom_site_occupancy
Fe1 0.000 0.111 0.000 1
Fe2 0.413 0.238 0.155 1
Co1 0.191 0.392 0.285 1
Co2 0.291 0.208 0.642 1
P1 0.028 0.400 0.452 1
P2 0.178 0.101 0.840 1
O1 0.048 0.416 0.066 1
O2 0.063 0.150 0.839 1
O3 0.141 0.345 0.450 1
O4 0.163 0.085 0.232 1
O5 0.217 0.294 0.779 1
O6 0.273 0.053 0.007 1
O7 0.433 0.039 0.788 1
O8 0.485 0.289 0.009 1
F1 0.341 0.369 0.281 1
F2 0.370 0.417 0.571 1
```


Record 8
Structure and computed X-ray powder pattern of FeCo2PbF8 (a crystal structure in Alexandria, relaxed with PBE+U; CuKα).
Neutral-atom scattering factors, no anomalous dispersion.

Most intense lines, 2θ = 10–90°, low angle first:
2theta, d_spacing, Rel. int., h k l
13.11, 6.754, 29, 0 0 1
17.64, 5.028, 34, 0 1 0
22.02, 4.037, 43, 0 1 -1
24.87, 3.580, 95, 1 1 0
25.22, 3.532, 83, 1 -1 0
31.90, 2.805, 100, 0 1 -2
31.98, 2.798, 32, 1 0 -2
36.82, 2.441, 32, 1 -1 2
48.35, 1.882, 34, 1 2 2
48.54, 1.876, 34, 1 2 -2
48.82, 1.865, 41, 1 -2 2
60.78, 1.524, 21, 1 -1 4

Structural model:
```
data_FeCo2PbF8
_chemical_formula_sum 'Fe1 Co2 Pb1 F8'
_symmetry_space_group_name_H-M 'P -1'
_symmetry_Int_Tables_number 2
_symmetry_space_group_name_Hall '-P 1'
_cell_length_a 5.022
_cell_length_b 5.036
_cell_length_c 6.754
_cell_angle_alpha 89.84
_cell_angle_beta 89.82
_cell_angle_gamma 89.21
loop_
_atom_site_label
_atom_site_fract_x
_atom_site_fract_y
_atom_site_fract_z
_atom_site_occupancy
Fe1 0.000 0.000 0.000 1
Co1 0.500 0.500 0.238 1
Pb1 0.000 0.000 0.500 1
F1 0.212 0.780 0.219 1
F2 0.213 0.781 0.781 1
F3 0.303 0.298 0.001 1
F4 0.339 0.326 0.501 1
```